# 1
This entry pairs a crystal structure of VAgSeO5 with its simulated powder diffraction line list. Radiation: λ = 1.5418 Å (Cu Kα). Structure: a DFT-relaxed cell (PBE+U, the Materials Project).
Lines closer than 0.1° are merged.

Top 12 peaks for 2θ = 5–70°, in order of rising 2θ:
2θ = 8.72°, I 61
2θ = 20.44°, I 37
2θ = 24.34°, I 47
2θ = 26.37°, I 14
2θ = 29.71°, I 100
2θ = 31.41°, I 50
2θ = 33.90°, I 35
2θ = 34.68°, I 33
2θ = 42.17°, I 16
2θ = 43.45°, I 15
2θ = 45.34°, I 32
2θ = 47.18°, I 17

Cell and atoms:
```
VAgSeO5
1.0
4.3457 0.0000 0.0000
0.0000 20.2816 0.0000
0.0000 0.0000 5.2893
V Ag Se O
4 4 4 20
Direct
0.0839 0.1916 0.2500 V
0.0839 0.3084 0.7500 V
0.9161 0.6916 0.2500 V
0.9161 0.8084 0.7500 V
0.1562 0.5147 0.2500 Ag
0.1562 0.9853 0.7500 Ag
0.8438 0.0147 0.2500 Ag
0.8438 0.4853 0.7500 Ag
0.2716 0.6216 0.7500 Se
0.2716 0.8784 0.2500 Se
0.7284 0.1216 0.7500 Se
0.7284 0.3784 0.2500 Se
0.0063 0.7500 0.0000 O
0.0063 0.7500 0.5000 O
0.0120 0.6183 0.0061 O
0.0120 0.6183 0.4939 O
0.0120 0.8817 0.5061 O
0.0120 0.8817 0.9939 O
0.3609 0.5394 0.7500 O
0.3609 0.9606 0.2500 O
0.4590 0.1863 0.2500 O
0.4590 0.3137 0.7500 O
0.5410 0.6863 0.2500 O
0.5410 0.8137 0.7500 O
0.6391 0.0394 0.7500 O
0.6391 0.4606 0.2500 O
0.9880 0.1183 0.0061 O
0.9880 0.1183 0.4939 O
0.9880 0.3817 0.5061 O
0.9880 0.3817 0.9939 O
0.9937 0.2500 0.0000 O
0.9937 0.2500 0.5000 O
```



# 2
This entry pairs a crystal structure of Li3Mn4B4O12 with its simulated powder diffraction line list. Radiation: λ = 1.5418 Å (Cu Kα). Structure: a DFT-relaxed cell (PBE+U, the Materials Project).
Lines closer than 0.1° are merged.

Top 12 peaks for 2θ = 5–70°, in order of rising 2θ:
2θ = 20.19°, I 99
2θ = 20.70°, I 27
2θ = 21.92°, I 53
2θ = 22.75°, I 81
2θ = 33.93°, I 32
2θ = 33.99°, I 38
2θ = 34.14°, I 100
2θ = 34.33°, I 26
2θ = 37.56°, I 28
2θ = 39.70°, I 29
2θ = 40.60°, I 40
2θ = 51.07°, I 28

Cell and atoms:
```
Li3Mn4B4O12
1.0
6.1762 0.0000 0.0000
1.1015 9.2902 0.0000
1.6332 3.6432 8.7970
Li Mn B O
6 8 8 24
Direct
0.0230 0.3498 0.2834 Li
0.4639 0.1284 0.7186 Li
0.4691 0.6293 0.2174 Li
0.5309 0.3707 0.7826 Li
0.5361 0.8716 0.2814 Li
0.9770 0.6502 0.7166 Li
0.2380 0.9560 0.0558 Mn
0.2428 0.4523 0.5498 Mn
0.2524 0.0455 0.4525 Mn
0.2536 0.5593 0.9490 Mn
0.7464 0.4407 0.0510 Mn
0.7476 0.9545 0.5475 Mn
0.7572 0.5477 0.4502 Mn
0.7620 0.0440 0.9442 Mn
0.0917 0.2881 0.8766 B
0.1015 0.7824 0.3911 B
0.4096 0.2162 0.1164 B
0.4199 0.7148 0.6170 B
0.5801 0.2852 0.3830 B
0.5904 0.7838 0.8836 B
0.8985 0.2176 0.6089 B
0.9083 0.7119 0.1234 B
0.0098 0.4303 0.8852 O
0.0123 0.1476 0.9838 O
0.0174 0.6463 0.5036 O
0.0323 0.9208 0.4098 O
0.2562 0.7777 0.2713 O
0.2595 0.7222 0.7288 O
0.2598 0.2814 0.7646 O
0.2763 0.2244 0.2410 O
0.4785 0.3524 0.9945 O
0.4798 0.0720 0.1029 O
0.4970 0.8544 0.4959 O
0.4983 0.5725 0.6071 O
0.5017 0.4275 0.3929 O
0.5030 0.1456 0.5041 O
0.5202 0.9280 0.8971 O
0.5215 0.6476 0.0055 O
0.7237 0.7756 0.7590 O
0.7402 0.7186 0.2354 O
0.7405 0.2778 0.2712 O
0.7438 0.2223 0.7287 O
0.9677 0.0792 0.5902 O
0.9826 0.3537 0.4964 O
0.9877 0.8524 0.0162 O
0.9902 0.5697 0.1148 O
```



# 3
This entry pairs a crystal structure of LiVF4 with its simulated powder diffraction line list. Radiation: λ = 1.5418 Å (Cu Kα). Structure: a DFT-relaxed cell (PBE+U, the Materials Project).
Lines closer than 0.1° are merged.

Top 12 peaks for 2θ = 5–70°, in order of rising 2θ:
2θ = 13.43°, I 62
2θ = 17.30°, I 87
2θ = 20.63°, I 31
2θ = 24.27°, I 100
2θ = 27.05°, I 42
2θ = 28.09°, I 17
2θ = 41.05°, I 68
2θ = 42.83°, I 10
2θ = 46.23°, I 20
2θ = 53.29°, I 27
2θ = 55.03°, I 18
2θ = 63.52°, I 28

Cell and atoms:
```
LiVF4
1.0
7.8542 0.0000 0.0000
0.0000 8.6112 0.0000
0.0000 0.0000 10.2519
Li V F
8 8 32
Direct
0.2088 0.2500 0.0520 Li
0.2439 0.2500 0.4526 Li
0.2561 0.7500 0.9526 Li
0.2912 0.7500 0.5520 Li
0.7088 0.2500 0.4480 Li
0.7439 0.2500 0.0474 Li
0.7561 0.7500 0.5474 Li
0.7912 0.7500 0.9480 Li
0.1392 0.0606 0.7489 V
0.1392 0.4394 0.7489 V
0.3608 0.5606 0.2489 V
0.3608 0.9394 0.2489 V
0.6392 0.0606 0.7511 V
0.6392 0.4394 0.7511 V
0.8608 0.5606 0.2511 V
0.8608 0.9394 0.2511 V
0.1096 0.5672 0.2635 F
0.1096 0.9328 0.2635 F
0.1271 0.5871 0.8878 F
0.1271 0.9129 0.8878 F
0.1336 0.2500 0.8736 F
0.1481 0.2500 0.6228 F
0.1600 0.5837 0.6107 F
0.1600 0.9163 0.6107 F
0.3400 0.0837 0.1107 F
0.3400 0.4163 0.1107 F
0.3519 0.7500 0.1228 F
0.3664 0.7500 0.3736 F
0.3729 0.0871 0.3878 F
0.3729 0.4129 0.3878 F
0.3904 0.0672 0.7635 F
0.3904 0.4328 0.7635 F
0.6096 0.5672 0.2365 F
0.6096 0.9328 0.2365 F
0.6271 0.5871 0.6122 F
0.6271 0.9129 0.6122 F
0.6336 0.2500 0.6264 F
0.6481 0.2500 0.8772 F
0.6600 0.5837 0.8893 F
0.6600 0.9163 0.8893 F
0.8400 0.0837 0.3893 F
0.8400 0.4163 0.3893 F
0.8519 0.7500 0.3772 F
0.8664 0.7500 0.1264 F
0.8729 0.0871 0.1122 F
0.8729 0.4129 0.1122 F
0.8904 0.0672 0.7365 F
0.8904 0.4328 0.7365 F
```



# 4
This entry pairs a crystal structure of LiCoC4O4 with its simulated powder diffraction line list. Radiation: λ = 1.5418 Å (Cu Kα). Structure: a DFT-relaxed cell (PBE+U, the Materials Project).
Lines closer than 0.1° are merged.

Top 12 peaks for 2θ = 5–70°, in order of rising 2θ:
2θ = 15.75°, I 54
2θ = 22.34°, I 100
2θ = 27.45°, I 70
2θ = 35.68°, I 32
2θ = 39.22°, I 22
2θ = 45.60°, I 31
2θ = 48.54°, I 18
2θ = 51.35°, I 4
2θ = 54.05°, I 10
2θ = 59.20°, I 3
2θ = 61.68°, I 24
2θ = 68.79°, I 8

Cell and atoms:
```
LiCoC4O4
1.0
5.6272 0.0000 0.0000
0.0000 5.6272 0.0000
0.0000 0.0000 5.6272
Li Co C O
1 1 4 4
Direct
0.0000 0.0000 0.0000 Li
0.5000 0.5000 0.5000 Co
0.3224 0.3224 0.3224 C
0.3224 0.6776 0.6776 C
0.6776 0.3224 0.6776 C
0.6776 0.6776 0.3224 C
0.2014 0.2014 0.2014 O
0.2014 0.7986 0.7986 O
0.7986 0.2014 0.7986 O
0.7986 0.7986 0.2014 O
```



# 5
This entry pairs a crystal structure of Li2Fe3CoO8 with its simulated powder diffraction line list. Radiation: λ = 1.5418 Å (Cu Kα). Structure: a DFT-relaxed cell (PBE+U, the Materials Project).
Lines closer than 0.1° are merged.

Top 12 peaks for 2θ = 5–70°, in order of rising 2θ:
2θ = 15.11°, I 33
2θ = 18.54°, I 69
2θ = 21.51°, I 19
2θ = 24.05°, I 23
2θ = 30.44°, I 20
2θ = 35.74°, I 50
2θ = 36.01°, I 100
2θ = 43.36°, I 20
2θ = 43.76°, I 19
2θ = 43.89°, I 19
2θ = 63.32°, I 38
2θ = 63.71°, I 25

Cell and atoms:
```
Li2Fe3CoO8
1.0
8.2513 0.0000 0.0000
-0.0026 8.2755 0.0000
-0.0087 -0.0015 8.3469
Li Fe Co O
8 12 4 32
Direct
0.0000 0.0000 0.0000 Li
0.0018 0.4991 0.4965 Li
0.1286 0.6287 0.1258 Li
0.3737 0.3747 0.6245 Li
0.4987 0.5043 0.9967 Li
0.5022 0.0033 0.4991 Li
0.6279 0.8747 0.8707 Li
0.8733 0.1304 0.3701 Li
0.1268 0.8759 0.3688 Fe
0.1285 0.3738 0.8699 Fe
0.1292 0.1306 0.6262 Fe
0.3737 0.1286 0.8716 Fe
0.3745 0.6286 0.3708 Fe
0.3749 0.8753 0.1251 Fe
0.6267 0.1293 0.1255 Fe
0.6272 0.3755 0.3706 Fe
0.6272 0.6274 0.6233 Fe
0.8716 0.8767 0.6239 Fe
0.8735 0.3746 0.1254 Fe
0.8749 0.6306 0.8723 Fe
0.2503 0.2532 0.2481 Co
0.2523 0.7504 0.7475 Co
0.7500 0.2526 0.7471 Co
0.7509 0.7527 0.2478 Co
0.1064 0.3741 0.1060 O
0.1152 0.6062 0.8706 O
0.1168 0.8917 0.6121 O
0.1236 0.3569 0.6436 O
0.1295 0.1157 0.3952 O
0.1368 0.1393 0.8588 O
0.1459 0.8796 0.1396 O
0.1490 0.6402 0.3743 O
0.3550 0.3573 0.8738 O
0.3568 0.1248 0.6451 O
0.3706 0.8624 0.3593 O
0.3727 0.8939 0.8936 O
0.3791 0.6478 0.1438 O
0.3878 0.1152 0.1083 O
0.3920 0.3948 0.3715 O
0.3941 0.6281 0.6066 O
0.6070 0.1307 0.8905 O
0.6094 0.8963 0.1252 O
0.6125 0.6147 0.3862 O
0.6228 0.1474 0.3514 O
0.6286 0.3930 0.6020 O
0.6365 0.3643 0.1369 O
0.6399 0.6244 0.8482 O
0.6405 0.8565 0.6218 O
0.8551 0.1469 0.1213 O
0.8556 0.3795 0.3508 O
0.8621 0.6329 0.6305 O
0.8719 0.6088 0.1081 O
0.8788 0.8564 0.8591 O
0.8893 0.3884 0.8861 O
0.8904 0.8759 0.3873 O
0.8935 0.1146 0.6249 O
```



# 6
This entry pairs a crystal structure of KCo2H3Se2O10 with its simulated powder diffraction line list. Radiation: λ = 1.5418 Å (Cu Kα). Structure: a DFT-relaxed cell (PBE+U, the Materials Project).
Lines closer than 0.1° are merged.

Top 12 peaks for 2θ = 5–70°, in order of rising 2θ:
2θ = 12.40°, I 44
2θ = 17.08°, I 80
2θ = 18.37°, I 30
2θ = 25.25°, I 78
2θ = 26.43°, I 100
2θ = 28.86°, I 82
2θ = 29.74°, I 57
2θ = 32.23°, I 57
2θ = 33.57°, I 74
2θ = 33.93°, I 31
2θ = 52.62°, I 48
2θ = 57.95°, I 26

Cell and atoms:
```
KCo2H3Se2O10
1.0
4.5910 -3.3119 0.0000
4.5910 3.3119 0.0000
-3.2359 0.0000 7.1395
K Co H Se O
1 2 3 2 10
Direct
0.0000 0.0000 0.0000 K
0.0005 0.5083 0.4962 Co
0.5083 0.0005 0.4962 Co
0.0266 0.0266 0.5176 H
0.1912 0.1912 0.7174 H
0.8218 0.8218 0.2905 H
0.4201 0.4201 0.2187 Se
0.5822 0.5822 0.7811 Se
0.1551 0.1551 0.5804 O
0.2578 0.6788 0.7255 O
0.3002 0.3002 0.9941 O
0.3049 0.3049 0.3447 O
0.3227 0.7432 0.2756 O
0.6788 0.2578 0.7255 O
0.6961 0.6961 0.6543 O
0.7017 0.7017 0.0055 O
0.7432 0.3227 0.2756 O
0.8523 0.8523 0.4259 O
```